(1)
Simulated powder XRD pattern of Li5SbS for a wavelength of 1.5418 Å, from a GGA-PBE-relaxed structure.

Crystal structure
```
56
Lattice="11.4426 0.0000 0.0000 0.0000 8.0281 0.0000 -10.5549 0.0000 11.8658" Properties=species:S:1:pos:R:3 pbc="T T T"
Li -1.7015 0.7188 2.0866
Li -6.9790 3.2952 8.0195
Li -6.9600 0.7678 8.0424
Li -1.6826 3.2463 2.1095
Li 0.1274 1.9852 0.1440
Li -5.1501 2.0289 6.0769
Li 0.8173 4.6168 2.4965
Li -4.4601 7.4254 8.4294
Li -4.4423 4.5710 8.4254
Li -6.1727 6.0147 10.3730
Li -0.8953 6.0275 4.4400
Li 0.8352 7.4712 2.4925
Li -2.2118 0.5805 6.1322
Li 3.0656 3.4335 0.1993
Li 3.1211 0.6559 0.1938
Li -2.1563 3.3582 6.1267
Li 0.5071 1.9244 4.9025
Li -4.7703 2.0897 10.8354
Li -2.4707 1.9728 8.7851
Li 2.8067 2.0413 2.8521
Li -1.9190 5.9868 9.0137
Li 3.3585 6.0554 3.0808
Li 5.6581 5.9385 1.0304
Li 0.3806 6.1037 6.9634
Li 3.0441 4.6699 5.7391
Li -2.2334 7.3722 11.6720
Li -2.1779 4.5946 11.6665
Li 3.0995 7.4476 5.7336
Li 0.0525 0.5569 9.3733
Li 1.7830 2.0007 7.4258
Li 7.0604 2.0134 1.4929
Li 5.3300 3.4572 3.4404
Li 5.3478 0.6028 3.4364
Li 0.0704 3.4113 9.3693
Li 6.0378 5.9993 5.7889
Li 0.7604 6.0429 11.7218
Li 2.5703 4.7818 9.7564
Li 7.8477 7.2603 3.8235
Li 7.8667 4.7329 3.8464
Li 2.5893 7.3093 9.7793
Sb -3.4403 1.9793 4.0089
Sb -8.7177 2.0347 9.9419
Sb -2.7278 5.9821 6.4448
Sb 2.5496 6.0601 0.5119
Sb -1.6619 1.9681 11.3539
Sb 3.6156 2.0460 5.4210
Sb 9.6054 5.9934 1.9240
Sb 4.3280 6.0488 7.8569
S 0.4814 2.0076 2.4788
S -4.7960 2.0064 8.4118
S -3.8224 5.9531 10.5441
S 1.4550 6.0891 4.6111
S -0.5673 1.9391 7.2547
S 4.7101 2.0750 1.3218
S 5.6837 6.0217 3.4541
S 0.4063 6.0205 9.3870
```

The 8 most intense peaks (2θ from 10° to 90°), in order of falling intensity:
d = 4.014 Å, 2θ 22.1, rel. 100
d = 3.454 Å, 2θ 25.8, rel. 89
d = 3.363 Å, 2θ 26.5, rel. 87
d = 3.556 Å, 2θ 25.0, rel. 86
d = 5.705 Å, 2θ 15.5, rel. 41
d = 4.771 Å, 2θ 18.6, rel. 37
d = 8.550 Å, 2θ 10.3, rel. 35
d = 3.967 Å, 2θ 22.4, rel. 34

=====

(2)
Simulated powder XRD pattern of Ni2W3N for a wavelength of 1.5418 Å, from a GGA-PBE-relaxed structure.

Crystal structure
```
24
Lattice="6.6799 0.0000 0.0000 0.0000 6.6799 0.0000 0.0000 0.0000 6.6799" Properties=species:S:1:pos:R:3 pbc="T T T"
Ni 0.4423 0.4423 0.4423
Ni 1.2277 5.4522 2.1122
Ni 2.1122 1.2277 5.4522
Ni 2.8977 6.2376 3.7822
Ni 3.7822 2.8977 6.2376
Ni 4.5676 4.5676 4.5676
Ni 5.4522 2.1122 1.2277
Ni 6.2376 3.7822 2.8977
W 0.3316 5.8449 4.6783
W 0.8350 1.3384 3.0084
W 1.3384 3.0084 0.8350
W 2.0015 3.6715 4.1749
W 2.5049 5.3415 6.3483
W 3.0084 0.8350 1.3384
W 3.6715 4.1749 2.0015
W 4.1749 2.0015 3.6715
W 4.6783 0.3316 5.8449
W 5.3415 6.3483 2.5049
W 5.8449 4.6783 0.3316
W 6.3483 2.5049 5.3415
N 0.8350 4.1749 5.8449
N 2.5049 2.5049 2.5049
N 4.1749 5.8449 0.8350
N 5.8449 0.8350 4.1749
```

The 8 most intense peaks (2θ from 10° to 90°), in order of falling intensity:
d = 2.227 Å, 2θ 40.5, rel. 100
d = 2.112 Å, 2θ 42.8, rel. 59
d = 2.014 Å, 2θ 45.0, rel. 26
d = 1.310 Å, 2θ 72.1, rel. 23
d = 1.240 Å, 2θ 76.9, rel. 19
d = 2.987 Å, 2θ 29.9, rel. 17
d = 3.857 Å, 2θ 23.1, rel. 12
d = 1.574 Å, 2θ 58.6, rel. 12

=====

(3)
Simulated powder XRD pattern of NdGe2Ir2 for a wavelength of 1.5418 Å, from a GGA-PBE-relaxed structure.

Crystal structure
```
10
Lattice="4.2798 0.0000 0.0000 0.0000 4.2798 0.0000 0.0000 0.0000 10.2089" Properties=species:S:1:pos:R:3 pbc="T T T"
Nd 1.0699 1.0699 2.4764
Nd 3.2098 3.2098 7.7325
Ge 1.0699 1.0699 6.4464
Ge 1.0699 3.2098 0.0000
Ge 3.2098 1.0699 0.0000
Ge 3.2098 3.2098 3.7625
Ir 1.0699 1.0699 8.9113
Ir 1.0699 3.2098 5.1045
Ir 3.2098 1.0699 5.1045
Ir 3.2098 3.2098 1.2976
```

The 8 most intense peaks (2θ from 10° to 90°), in order of falling intensity:
d = 2.603 Å, 2θ 34.5, rel. 100
d = 2.140 Å, 2θ 42.2, rel. 74
d = 2.664 Å, 2θ 33.6, rel. 61
d = 1.951 Å, 2θ 46.5, rel. 37
d = 2.901 Å, 2θ 30.8, rel. 30
d = 1.668 Å, 2θ 55.0, rel. 30
d = 1.513 Å, 2θ 61.3, rel. 25
d = 1.843 Å, 2θ 49.5, rel. 25